TbScAu4: calculated powder diffraction line list (Cu Kα), based on the GGA-PBE geometry in OQMD.

Peak list (10 most intense, 2θ from 10° to 80°, sorted by position)
19.86 deg, I = 4; 26.38 deg, I = 11; 31.65 deg, I = 6; 34.77 deg, I = 69; 39.02 deg, I = 100; 40.36 deg, I = 4; 49.99 deg, I = 25; 62.31 deg, I = 6; 65.18 deg, I = 45; 73.38 deg, I = 23

Crystal structure
```
TbScAu4
1.0
3.649 0.000 0.000
0.000 3.649 0.000
0.000 0.000 8.940
Tb Sc Au
1 1 4
Cartesian
0.000 0.000 0.000
1.824 1.824 4.470
0.000 0.000 3.058
0.000 0.000 5.882
1.824 1.824 1.546
1.824 1.824 7.395
```

***

Bi10IrS10: calculated powder diffraction line list (Cu Kα), based on the GGA-PBE geometry in OQMD.

Peak list (10 most intense, 2θ from 10° to 80°, sorted by position)
21.55 deg, I = 52; 24.95 deg, I = 39; 25.81 deg, I = 29; 26.31 deg, I = 100; 26.59 deg, I = 37; 27.49 deg, I = 69; 28.98 deg, I = 68; 33.32 deg, I = 67; 41.80 deg, I = 49; 42.13 deg, I = 40

Crystal structure
```
Bi10IrS10
1.0
10.748 0.000 0.000
0.000 12.863 0.000
0.000 0.000 8.580
Bi Ir S
20 2 20
Cartesian
0.000 0.000 1.982
0.000 0.000 6.598
1.500 5.241 1.949
1.500 5.241 6.631
1.566 8.677 0.000
2.655 2.285 4.290
2.719 8.717 4.290
3.809 2.246 0.000
3.874 11.673 1.949
3.874 11.673 6.631
5.374 6.431 1.982
5.374 6.431 6.598
6.874 1.190 1.949
6.874 1.190 6.631
6.940 10.617 0.000
8.029 4.146 4.290
8.094 10.577 4.290
9.183 4.186 0.000
9.249 7.622 1.949
9.249 7.622 6.631
0.000 6.431 0.000
5.374 0.000 0.000
0.044 8.335 4.290
1.559 11.799 0.000
1.643 2.420 1.680
1.643 2.420 6.900
1.853 12.665 4.290
3.521 6.233 4.290
3.731 8.852 1.680
3.731 8.852 6.900
3.815 5.368 0.000
5.330 1.904 4.290
5.418 10.959 4.290
6.933 7.495 0.000
7.017 4.011 1.680
7.017 4.011 6.900
7.228 6.630 4.290
8.895 0.198 4.290
9.105 10.442 1.680
9.105 10.442 6.900
9.189 1.064 0.000
10.704 4.527 4.290
```

***

NiHg2S4: calculated powder diffraction line list (Cu Kα), based on the GGA-PBE geometry in OQMD.

Peak list (10 most intense, 2θ from 10° to 80°, sorted by position)
18.55 deg, I = 50; 28.75 deg, I = 100; 29.44 deg, I = 30; 33.84 deg, I = 19; 38.86 deg, I = 30; 45.45 deg, I = 12; 47.44 deg, I = 35; 48.60 deg, I = 15; 55.37 deg, I = 16; 57.45 deg, I = 28

Crystal structure
```
NiHg2S4
1.0
5.298 0.000 0.000
0.000 5.298 0.000
0.000 0.000 11.105
Ni Hg S
2 4 8
Cartesian
0.000 0.000 0.000
2.649 2.649 5.552
0.000 0.000 5.552
0.000 2.649 2.776
2.649 0.000 8.328
2.649 2.649 0.000
0.892 1.349 9.685
1.300 3.541 6.972
1.349 4.406 1.419
1.757 1.300 4.133
3.541 3.998 4.133
3.949 0.892 1.419
3.998 1.757 6.972
4.406 3.949 9.685
```

***

Al2HgTe2S2: calculated powder diffraction line list (Cu Kα), based on the GGA-PBE geometry in OQMD.

Peak list (10 most intense, 2θ from 10° to 80°, sorted by position)
16.16 deg, I = 50; 17.01 deg, I = 48; 21.43 deg, I = 69; 26.01 deg, I = 100; 26.96 deg, I = 87; 28.42 deg, I = 31; 34.41 deg, I = 28; 38.72 deg, I = 31; 44.31 deg, I = 39; 45.06 deg, I = 59

Crystal structure
```
Al2HgTe2S2
1.0
8.296 0.000 0.000
0.000 10.970 0.000
-3.996 0.000 4.388
Al Hg Te S
4 2 4 4
Cartesian
0.000 0.000 0.000
-1.998 2.344 2.194
4.148 5.485 0.000
2.150 7.829 2.194
-1.998 8.140 2.194
2.150 2.655 2.194
-2.081 4.087 4.195
2.233 9.572 0.193
2.067 9.572 4.195
6.381 4.087 0.193
-0.115 1.075 2.007
0.267 6.561 2.381
4.034 6.561 2.007
4.415 1.075 2.381
```

***

PrFeSn2Ge: calculated powder diffraction line list (Cu Kα), based on the GGA-PBE geometry in OQMD.

Peak list (10 most intense, 2θ from 10° to 80°, sorted by position)
30.60 deg, I = 100; 30.74 deg, I = 22; 34.35 deg, I = 32; 39.38 deg, I = 17; 40.28 deg, I = 42; 40.60 deg, I = 28; 45.36 deg, I = 16; 51.47 deg, I = 22; 58.53 deg, I = 28; 67.26 deg, I = 22

Crystal structure
```
PrFeSn2Ge
1.0
2.239 -11.633 0.000
2.239 11.633 0.000
0.000 0.000 4.444
Pr Fe Sn Ge
2 2 4 2
Cartesian
2.239 7.523 0.000
2.239 -7.523 0.000
2.239 2.737 2.222
2.239 -2.737 2.222
2.239 10.150 2.222
2.239 1.462 0.000
2.239 -1.462 0.000
2.239 -10.150 2.222
2.239 5.047 2.222
2.239 -5.047 2.222
```

***

Ni4Bi12I3: calculated powder diffraction line list (Cu Kα), based on the GGA-PBE geometry in OQMD.

Peak list (10 most intense, 2θ from 10° to 80°, sorted by position)
10.14 deg, I = 47; 27.82 deg, I = 100; 28.41 deg, I = 34; 30.26 deg, I = 66; 31.44 deg, I = 29; 32.21 deg, I = 54; 41.20 deg, I = 26; 42.62 deg, I = 29; 44.05 deg, I = 33; 54.38 deg, I = 25

Crystal structure
```
Ni4Bi12I3
1.0
2.056 -8.044 0.000
2.056 8.044 0.000
0.000 0.000 34.907
Ni Bi I
8 24 6
Cartesian
2.056 7.792 22.566
2.056 7.792 29.795
2.056 1.020 21.658
2.056 1.020 30.703
2.056 -1.020 4.204
2.056 -1.020 13.249
2.056 -7.792 5.112
2.056 -7.792 12.342
2.056 7.493 2.434
2.056 7.493 15.019
2.056 5.723 24.352
2.056 5.723 28.008
2.056 5.458 5.120
2.056 5.458 12.333
2.056 3.142 19.998
2.056 3.142 32.362
2.056 1.801 4.155
2.056 1.801 13.298
2.056 0.225 24.332
2.056 0.225 28.028
2.056 -0.225 6.879
2.056 -0.225 10.575
2.056 -1.801 21.609
2.056 -1.801 30.752
2.056 -3.142 2.545
2.056 -3.142 14.909
2.056 -5.458 22.574
2.056 -5.458 29.787
2.056 -5.723 6.899
2.056 -5.723 10.555
2.056 -7.493 19.888
2.056 -7.493 32.473
2.056 5.144 8.727
2.056 2.114 0.801
2.056 2.114 16.653
2.056 -2.114 18.254
2.056 -2.114 34.106
2.056 -5.144 26.180
```